Entry 1:
Theoretical powder XRD pattern
Compound: H4AuBr3N
Radiation: Cu Ka
Structure: the GGA-PBE geometry in Alexandria

Cell and atoms:
```
data_H4AuBr3N
_symmetry_space_group_name_H-M 'P 1'
_symmetry_Int_Tables_number 1
_cell_length_a 5.214
_cell_length_b 6.936
_cell_length_c 11.390
_cell_angle_alpha 95.67
_cell_angle_beta 99.64
_cell_angle_gamma 94.36
loop_
_symmetry_equiv_pos_as_xyz
'x,y,z'
loop_
_atom_site_label
_atom_site_fract_x
_atom_site_fract_y
_atom_site_fract_z
H1 0.000 0.000 0.000
H2 0.012 0.038 0.477
H3 0.046 0.027 0.858
H4 0.096 0.877 0.369
H5 0.172 0.840 0.927
H6 0.798 0.850 0.408
H7 0.846 0.839 0.885
H8 0.877 0.034 0.330
Au1 0.063 0.471 0.181
Au2 0.322 0.521 0.662
Br1 0.037 0.227 0.682
Br2 0.184 0.460 0.440
Br3 0.336 0.777 0.203
Br4 0.463 0.593 0.887
Br5 0.587 0.819 0.632
Br6 0.773 0.172 0.143
N1 0.018 0.928 0.918
N2 0.946 0.950 0.397
```

Most intense lines, 2θ = 5–70°, low angle first:
12.88 deg, I = 95; 15.89 deg, I = 98; 17.33 deg, I = 32; 17.75 deg, I = 42; 20.64 deg, I = 100; 21.56 deg, I = 62; 25.14 deg, I = 28; 27.11 deg, I = 34; 32.10 deg, I = 50; 32.22 deg, I = 38

***

Entry 2:
Theoretical powder XRD pattern
Compound: Tb8Nd3
Radiation: Cu Ka
Structure: the GGA-PBE geometry in Alexandria

Cell and atoms:
```
data_Tb8Nd3
_symmetry_space_group_name_H-M 'R -3 m'
_symmetry_Int_Tables_number 166
_symmetry_space_group_name_Hall '-R 3 2"'
_cell_length_a 3.5949
_cell_length_b 3.5949
_cell_length_c 96.5078
_cell_angle_alpha 90.00
_cell_angle_beta 90.00
_cell_angle_gamma 120.00
loop_
_atom_site_label
_atom_site_fract_x
_atom_site_fract_y
_atom_site_fract_z
Tb1 0.0000 0.0000 0.0449
Tb2 0.0000 0.0000 0.1361
Tb3 0.0000 0.0000 0.3184
Tb4 0.0000 0.0000 0.4081
Nd1 0.0000 0.0000 0.2279
Nd2 0.0000 0.0000 0.5000
```

Most intense lines, 2θ = 5–70°, low angle first:
30.47 deg, I = 100; 30.57 deg, I = 33; 35.35 deg, I = 67; 50.80 deg, I = 24; 50.93 deg, I = 23; 60.43 deg, I = 43; 60.57 deg, I = 14; 63.40 deg, I = 13; 63.64 deg, I = 4